# Pr7Sm4Sc
Simulated powder diffraction line list, Cu Ka. Input: the GGA-PBE geometry in Alexandria.
Intensities are scaled so that the largest is 100.

a b c (Å): 6.345 7.357 9.112
angles (deg): 90.00 103.43 90.00
Fractional positions:
Pr: 0.000 0.000 0.000
Pr: 0.218 0.500 0.668
Pr: 0.228 0.000 0.664
Pr: 0.500 0.254 0.000
Pr: 0.500 0.746 0.000
Pr: 0.772 0.000 0.336
Pr: 0.782 0.500 0.332
Sm: 0.275 0.254 0.328
Sm: 0.275 0.746 0.328
Sm: 0.725 0.254 0.672
Sm: 0.725 0.746 0.672
Sc: 0.000 0.500 0.000

Largest 8 diffraction maxima, low angle first, 10 to 90 degrees two-theta:
Position (°2θ)  d (Å)  I/Imax
28.27  3.156  30
28.88  3.092  25
30.25  2.954  51
31.19  2.868  100
32.82  2.729  83
49.73  1.833  25
56.44  1.630  16
59.32  1.558  30



# TcMoN2
Simulated powder diffraction line list, Cu Ka. Input: the GGA-PBE geometry in Alexandria.
Intensities are scaled so that the largest is 100.

a b c (Å): 5.667 5.667 5.667
angles (deg): 131.80 131.80 70.55
Fractional positions:
Tc: 0.000 0.000 0.000
Tc: 0.750 0.250 0.500
Mo: 0.250 0.750 0.500
Mo: 0.500 0.500 0.000
N: 0.125 0.625 0.000
N: 0.375 0.375 0.500
N: 0.625 0.125 0.000
N: 0.875 0.875 0.500

Largest 6 diffraction maxima, low angle first, 10 to 90 degrees two-theta:
Position (°2θ)  d (Å)  I/Imax
33.54  2.672  100
38.92  2.314  37
56.22  1.636  40
67.08  1.395  38
70.49  1.336  9
83.58  1.157  6



What did the first record say?
# Pr7Sm4Sc
Simulated powder diffraction line list, Cu Ka. Input: the GGA-PBE geometry in Alexandria.
Intensities are scaled so that the largest is 100.

a b c (Å): 6.345 7.357 9.112
angles (deg): 90.00 103.43 90.00
Fractional positions:
Pr: 0.000 0.000 0.000
Pr: 0.218 0.500 0.668
Pr: 0.228 0.000 0.664
Pr: 0.500 0.254 0.000
Pr: 0.500 0.746 0.000
Pr: 0.772 0.000 0.336
Pr: 0.782 0.500 0.332
Sm: 0.275 0.254 0.328
Sm: 0.275 0.746 0.328
Sm: 0.725 0.254 0.672
Sm: 0.725 0.746 0.672
Sc: 0.000 0.500 0.000

Largest 8 diffraction maxima, low angle first, 10 to 90 degrees two-theta:
Position (°2θ)  d (Å)  I/Imax
28.27  3.156  30
28.88  3.092  25
30.25  2.954  51
31.19  2.868  100
32.82  2.729  83
49.73  1.833  25
56.44  1.630  16
59.32  1.558  30



Please write out number 1 again, unchanged.
# Pr7Sm4Sc
Simulated powder diffraction line list, Cu Ka. Input: the GGA-PBE geometry in Alexandria.
Intensities are scaled so that the largest is 100.

a b c (Å): 6.345 7.357 9.112
angles (deg): 90.00 103.43 90.00
Fractional positions:
Pr: 0.000 0.000 0.000
Pr: 0.218 0.500 0.668
Pr: 0.228 0.000 0.664
Pr: 0.500 0.254 0.000
Pr: 0.500 0.746 0.000
Pr: 0.772 0.000 0.336
Pr: 0.782 0.500 0.332
Sm: 0.275 0.254 0.328
Sm: 0.275 0.746 0.328
Sm: 0.725 0.254 0.672
Sm: 0.725 0.746 0.672
Sc: 0.000 0.500 0.000

Largest 8 diffraction maxima, low angle first, 10 to 90 degrees two-theta:
Position (°2θ)  d (Å)  I/Imax
28.27  3.156  30
28.88  3.092  25
30.25  2.954  51
31.19  2.868  100
32.82  2.729  83
49.73  1.833  25
56.44  1.630  16
59.32  1.558  30